Structure and theoretical PXRD pattern of PrTl2Sb2 (a crystal structure in Alexandria, relaxed with GGA-PBE; CuKα).
Kinematic intensities with the Lorentz-polarization factor, no thermal factor.

Top 10 peaks for 15° ≤ 2θ ≤ 90°, by angle:
d = 3.043 Å, rel. 28, (0 10 0); d = 2.825 Å, rel. 100, (1 5 1); d = 2.269 Å, rel. 15, (2 0 0); d = 2.242 Å, rel. 15, (0 0 2); d = 1.819 Å, rel. 10, (2 10 0); d = 1.805 Å, rel. 10, (0 10 2); d = 1.712 Å, rel. 9, (1 15 1); d = 1.595 Å, rel. 10, (2 0 2); d = 1.395 Å, rel. 12, (3 5 1); d = 1.383 Å, rel. 11, (1 5 3)

Structural model:
a = 4.538 Å, b = 30.434 Å, c = 4.485 Å
α = 90.00°, β = 90.00°, γ = 90.00°
Space group Cmcm (No. 63)
One atom of each set of equivalent atoms:
Pr 0.000 0.168 0.250
Tl 0.000 0.058 0.750
Tl 0.000 0.448 0.750
Sb 0.000 0.250 0.750
Sb 0.000 0.363 0.250

***

Structure and theoretical PXRD pattern of NbAgSeO5 (a crystal structure in Alexandria, relaxed with GGA-PBE; CuKα).
Kinematic intensities with the Lorentz-polarization factor, no thermal factor.

Top 10 peaks for 15° ≤ 2θ ≤ 90°, by angle:
d = 3.637 Å, rel. 100, (1 1 1); d = 3.267 Å, rel. 96, (2 0 -2); d = 2.758 Å, rel. 44, (0 2 2); d = 2.710 Å, rel. 89, (1 3 -1); d = 2.656 Å, rel. 34, (2 2 0); d = 1.991 Å, rel. 32, (2 0 2); d = 1.758 Å, rel. 28, (3 3 -3); d = 1.630 Å, rel. 19, (1 5 1); d = 1.626 Å, rel. 20, (1 3 3); d = 1.355 Å, rel. 19, (1 3 -5)

Structural model:
a = 7.439 Å, b = 8.933 Å, c = 7.893 Å
α = 90.00°, β = 117.33°, γ = 90.00°
Space group C2/c (No. 15)
One atom of each set of equivalent atoms:
Nb 0.250 0.250 0.000
Ag 0.000 0.070 0.250
Se 0.000 0.447 0.250
O 0.000 0.253 0.750
O 0.070 0.311 0.133
O 0.221 0.032 0.038

***

Structure and theoretical PXRD pattern of Nb4B3C2 (a crystal structure in Alexandria, relaxed with GGA-PBE; CuKα).
Kinematic intensities with the Lorentz-polarization factor, no thermal factor.

Top 10 peaks for 15° ≤ 2θ ≤ 90°, by angle:
d = 3.253 Å, rel. 23, (1 1 0); d = 2.792 Å, rel. 21, (1 7 0); d = 2.628 Å, rel. 100, (0 8 1); d = 2.576 Å, rel. 42, (1 9 0); d = 2.356 Å, rel. 33, (0 16 0); d = 2.269 Å, rel. 66, (1 1 1); d = 2.176 Å, rel. 23, (1 5 1); d = 2.094 Å, rel. 31, (0 18 0); d = 1.587 Å, rel. 24, (1 17 1); d = 1.387 Å, rel. 27, (2 8 1)

Structural model:
a = 3.266 Å, b = 37.703 Å, c = 3.165 Å
α = 90.00°, β = 90.00°, γ = 90.00°
Space group Cmcm (No. 63)
One atom of each set of equivalent atoms:
Nb 0.000 0.036 0.250
Nb 0.000 0.105 0.750
Nb 0.000 0.219 0.750
Nb 0.000 0.338 0.750
B 0.000 0.414 0.750
B 0.000 0.440 0.250
B 0.000 0.488 0.250
C 0.000 0.162 0.750
C 0.000 0.280 0.750